(1)
Diffraction record for YZn5. The X-ray powder pattern is theoretical, not measured: it uses a cell relaxed with PBE and Cu Kα.
Lines closer than 0.1° are merged.

Largest 12 diffraction maxima, low angle first, 2θ = 5–70°:
d = 2.927 Å, 30.54 deg, rel. 131; d = 2.465 Å, 36.45 deg, rel. 311; d = 2.444 Å, 36.78 deg, rel. 98; d = 2.371 Å, 37.95 deg, rel. 1000; d = 2.259 Å, 39.91 deg, rel. 121; d = 2.229 Å, 40.47 deg, rel. 158; d = 2.219 Å, 40.65 deg, rel. 979; d = 2.091 Å, 43.27 deg, rel. 163; d = 1.992 Å, 45.54 deg, rel. 246; d = 1.947 Å, 46.64 deg, rel. 133; d = 1.620 Å, 56.83 deg, rel. 116; d = 1.402 Å, 66.71 deg, rel. 91

Atomic structure:
abc: 8.877 8.877 9.035
angles: 90.00 90.00 120.00
Fractional coordinates of all 36 atoms:
Y1 0.188 0.377 0.250
Y2 0.188 0.812 0.250
Y3 0.377 0.188 0.750
Y4 0.623 0.812 0.250
Y5 0.812 0.188 0.750
Y6 0.812 0.623 0.750
Zn1 0.000 0.000 0.000
Zn2 0.000 0.000 0.500
Zn3 0.000 0.500 0.000
Zn4 0.000 0.500 0.500
Zn5 0.136 0.568 0.750
Zn6 0.161 0.322 0.593
Zn7 0.161 0.322 0.907
Zn8 0.161 0.839 0.593
Zn9 0.161 0.839 0.907
Zn10 0.322 0.161 0.093
Zn11 0.322 0.161 0.407
Zn12 0.333 0.667 0.018
Zn13 0.333 0.667 0.482
Zn14 0.432 0.568 0.750
Zn15 0.432 0.864 0.750
Zn16 0.500 0.000 0.000
Zn17 0.500 0.000 0.500
Zn18 0.500 0.500 0.000
Zn19 0.500 0.500 0.500
Zn20 0.568 0.136 0.250
Zn21 0.568 0.432 0.250
Zn22 0.667 0.333 0.518
Zn23 0.667 0.333 0.982
Zn24 0.678 0.839 0.593
Zn25 0.678 0.839 0.907
Zn26 0.839 0.161 0.093
Zn27 0.839 0.161 0.407
Zn28 0.839 0.678 0.093
Zn29 0.839 0.678 0.407
Zn30 0.864 0.432 0.250



(2)
Diffraction record for Y3Zn11. The X-ray powder pattern is theoretical, not measured: it uses a cell relaxed with PBE and Cu Kα.
Lines closer than 0.1° are merged.

Largest 12 diffraction maxima, low angle first, 2θ = 5–70°:
d = 2.604 Å, 34.44 deg, rel. 301; d = 2.518 Å, 35.66 deg, rel. 1000; d = 2.486 Å, 36.14 deg, rel. 322; d = 2.446 Å, 36.74 deg, rel. 310; d = 2.433 Å, 36.94 deg, rel. 214; d = 2.287 Å, 39.40 deg, rel. 359; d = 2.181 Å, 41.39 deg, rel. 555; d = 2.145 Å, 42.12 deg, rel. 259; d = 1.953 Å, 46.50 deg, rel. 223; d = 1.947 Å, 46.64 deg, rel. 176; d = 1.530 Å, 60.53 deg, rel. 167; d = 1.346 Å, 69.89 deg, rel. 220

Atomic structure:
abc: 8.113 8.113 8.113
angles: 148.80 113.78 75.02
Fractional coordinates of all 14 atoms:
Y1 0.000 0.000 0.000
Y2 0.295 0.295 0.000
Y3 0.705 0.705 0.000
Zn1 0.019 0.658 0.361
Zn2 0.142 0.861 0.281
Zn3 0.297 0.658 0.639
Zn4 0.315 0.500 0.815
Zn5 0.420 0.139 0.281
Zn6 0.500 0.000 0.500
Zn7 0.580 0.861 0.719
Zn8 0.685 0.500 0.185
Zn9 0.703 0.342 0.361
Zn10 0.858 0.139 0.719
Zn11 0.981 0.342 0.639



> What is the formula in the first record?

YZn5